Theoretical powder diffractogram
Compound: RbMn2SeO
Radiation: a wavelength of 1.5418 Å
Structure: DFT lattice parameters and positions (PBE+U)

Cell and atoms:
```
data_RbMn2SeO
_symmetry_space_group_name_H-M 'P 1'
_symmetry_Int_Tables_number 1
_cell_length_a 4.323
_cell_length_b 4.323
_cell_length_c 6.738
_cell_angle_alpha 90.00
_cell_angle_beta 90.00
_cell_angle_gamma 90.00
loop_
_symmetry_equiv_pos_as_xyz
'x,y,z'
loop_
_atom_site_label
_atom_site_fract_x
_atom_site_fract_y
_atom_site_fract_z
Rb1 0.000 0.000 0.000
Mn1 0.000 0.500 0.500
Mn2 0.500 0.000 0.500
Se1 0.500 0.500 0.000
O1 0.500 0.500 0.500
```

Principal peaks in the range 2θ = 15–90°, in order of rising 2θ:
Position (°2θ), Rel. int., (hkl)
26.46, 54, 0 0 2
32.16, 100, 1 1 1
41.79, 30, 2 0 0
50.15, 34, 2 0 2
50.42, 27, 1 1 3
60.59, 9, 2 2 0
67.27, 13, 2 2 2
70.27, 20, 3 1 1
70.94, 11, 2 0 4
77.40, 7, 1 1 5
82.63, 13, 3 1 3
85.86, 7, 2 2 4